K2RbCa2Cl7: computed PXRD pattern (Cu Kα (λ = 1.5418 Å)), based on a PBE-relaxed structure.
Kinematic intensities with the Lorentz-polarization factor, no thermal factor.

Main lines, in order of rising 2θ (5° ≤ 2θ ≤ 70°):
2θ = 6.62°, I = 48; 2θ = 23.26°, I = 47; 2θ = 23.41°, I = 35; 2θ = 26.89°, I = 42; 2θ = 30.86°, I = 49; 2θ = 33.13°, I = 100; 2θ = 33.55°, I = 42; 2θ = 47.78°, I = 23; 2θ = 47.95°, I = 33; 2θ = 59.52°, I = 21

Structural model:
a = 5.4086 Å, b = 5.4086 Å, c = 13.8777 Å
α = 101.08°, β = 101.08°, γ = 89.81°
Fractional coordinates of all 12 atoms:
K 0.1454 0.1454 0.3665
K 0.8546 0.8546 0.6335
Rb 0.0000 0.0000 0.0000
Ca 0.4013 0.4013 0.7942
Ca 0.5987 0.5987 0.2058
Cl 0.0964 0.5918 0.1995
Cl 0.2783 0.2783 0.5945
Cl 0.4082 0.9036 0.8005
Cl 0.5000 0.5000 0.0000
Cl 0.5918 0.0964 0.1995
Cl 0.7217 0.7217 0.4055
Cl 0.9036 0.4082 0.8005